No. 1
# NdHfSn
Calculated powder XRD pattern, CuKα. Input: a structure optimized by DFT (PBE).
Lines closer than 0.1° are merged.

Main lines, sorted by position (2θ from 10° to 80°):
- 2θ = 10.43°, rel. 31, hkl 0 0 2
- 2θ = 30.60°, rel. 89, hkl 1 1 2
- 2θ = 31.66°, rel. 29, hkl 0 0 6
- 2θ = 33.35°, rel. 37, hkl 1 0 5
- 2θ = 35.79°, rel. 100, hkl 1 1 4
- 2θ = 41.01°, rel. 58, hkl 2 0 0
- 2θ = 52.71°, rel. 28, hkl 2 0 6
- 2θ = 53.85°, rel. 19, hkl 2 1 5
- 2θ = 59.38°, rel. 20, hkl 2 2 0
- 2θ = 71.31°, rel. 28, hkl 3 1 4

Atomic structure:
```
data_NdHfSn
_cell_length_a 4.4020
_cell_length_b 4.4020
_cell_length_c 16.9557
_cell_angle_alpha 90.00
_cell_angle_beta 90.00
_cell_angle_gamma 90.00
_symmetry_space_group_name_H-M 'I 4/m m m'
_symmetry_Int_Tables_number 139
_symmetry_space_group_name_Hall '-I 4 2'
loop_
_atom_site_label
_atom_site_type_symbol
_atom_site_fract_x
_atom_site_fract_y
_atom_site_fract_z
Nd1 Nd 0.0000 0.0000 0.1753
Hf1 Hf 0.0000 0.5000 0.0000
Sn1 Sn 0.0000 0.0000 0.3748
```



No. 2
# Nd2HfTe5
Calculated powder XRD pattern, CuKα. Input: a structure optimized by DFT (PBE).
Lines closer than 0.1° are merged.

Main lines, sorted by position (2θ from 10° to 80°):
- 2θ = 11.82°, rel. 62, hkl 0 2 0
- 2θ = 15.82°, rel. 88, hkl 1 1 0
- 2θ = 21.90°, rel. 76, hkl 0 2 3
- 2θ = 29.58°, rel. 90, hkl 2 0 0
- 2θ = 30.20°, rel. 100, hkl 0 4 3
- 2θ = 33.99°, rel. 40, hkl 1 3 4
- 2θ = 37.11°, rel. 39, hkl 2 2 3
- 2θ = 38.37°, rel. 40, hkl 1 5 3
- 2θ = 42.79°, rel. 77, hkl 2 4 3
- 2θ = 45.42°, rel. 28, hkl 1 7 1

Atomic structure:
```
data_Nd2HfTe5
_cell_length_a 6.0391
_cell_length_b 14.9764
_cell_length_c 14.4900
_cell_angle_alpha 90.00
_cell_angle_beta 90.00
_cell_angle_gamma 90.00
_symmetry_space_group_name_H-M 'C m c m'
_symmetry_Int_Tables_number 63
_symmetry_space_group_name_Hall '-C 2c 2'
loop_
_atom_site_label
_atom_site_type_symbol
_atom_site_fract_x
_atom_site_fract_y
_atom_site_fract_z
Nd1 Nd 0.0000 0.1527 0.0610
Hf1 Hf 0.0000 0.1866 0.7500
Te1 Te 0.0000 0.0463 0.6228
Te2 Te 0.0000 0.2759 0.2500
Te3 Te 0.0000 0.3116 0.5923
```



No. 3
# NdHfTh2
Calculated powder XRD pattern, CuKα. Input: a structure optimized by DFT (PBE).
Lines closer than 0.1° are merged.

Main lines, sorted by position (2θ from 10° to 80°):
- 2θ = 30.05°, rel. 27, hkl 0 1 2
- 2θ = 31.41°, rel. 52, hkl 0 0 12
- 2θ = 32.42°, rel. 100, hkl 0 1 5
- 2θ = 34.94°, rel. 60, hkl 1 0 7
- 2θ = 39.84°, rel. 27, hkl 1 0 10
- 2θ = 52.49°, rel. 38, hkl 1 1 0
- 2θ = 54.86°, rel. 26, hkl 0 1 17
- 2θ = 62.46°, rel. 39, hkl 1 1 12
- 2θ = 63.06°, rel. 15, hkl 2 0 5
- 2θ = 67.85°, rel. 15, hkl 1 0 22

Atomic structure:
```
data_NdHfTh2
_cell_length_a 3.4865
_cell_length_b 3.4865
_cell_length_c 34.1786
_cell_angle_alpha 90.00
_cell_angle_beta 90.00
_cell_angle_gamma 120.00
_symmetry_space_group_name_H-M 'R 3 m'
_symmetry_Int_Tables_number 160
_symmetry_space_group_name_Hall 'R 3 -2"'
loop_
_atom_site_label
_atom_site_type_symbol
_atom_site_fract_x
_atom_site_fract_y
_atom_site_fract_z
Nd1 Nd 0.0000 0.0000 0.0000
Hf1 Hf 0.0000 0.0000 0.1691
Th1 Th 0.0000 0.0000 0.5800
Th2 Th 0.0000 0.0000 0.7565
```



No. 4
# NdY2Hf
Calculated powder XRD pattern, CuKα. Input: a structure optimized by DFT (PBE).
Lines closer than 0.1° are merged.

Main lines, sorted by position (2θ from 10° to 80°):
- 2θ = 15.57°, rel. 20, hkl 0 0 6
- 2θ = 29.83°, rel. 16, hkl 1 0 1
- 2θ = 30.18°, rel. 31, hkl 0 1 2
- 2θ = 31.44°, rel. 44, hkl 0 0 12
- 2θ = 32.54°, rel. 100, hkl 0 1 5
- 2θ = 35.06°, rel. 66, hkl 1 0 7
- 2θ = 39.95°, rel. 23, hkl 1 0 10
- 2θ = 52.73°, rel. 33, hkl 1 1 0
- 2θ = 54.98°, rel. 23, hkl 0 1 17
- 2θ = 62.70°, rel. 37, hkl 1 1 12

Atomic structure:
```
data_NdY2Hf
_cell_length_a 3.4717
_cell_length_b 3.4717
_cell_length_c 34.1464
_cell_angle_alpha 90.00
_cell_angle_beta 90.00
_cell_angle_gamma 120.00
_symmetry_space_group_name_H-M 'R 3 m'
_symmetry_Int_Tables_number 160
_symmetry_space_group_name_Hall 'R 3 -2"'
loop_
_atom_site_label
_atom_site_type_symbol
_atom_site_fract_x
_atom_site_fract_y
_atom_site_fract_z
Nd1 Nd 0.0000 0.0000 0.0000
Y1 Y 0.0000 0.0000 0.5766
Y2 Y 0.0000 0.0000 0.7566
Hf1 Hf 0.0000 0.0000 0.1663
```



No. 5
# Hf7Ni3
Calculated powder XRD pattern, CuKα. Input: a structure optimized by DFT (PBE).
Lines closer than 0.1° are merged.

Main lines, sorted by position (2θ from 10° to 80°):
- 2θ = 30.87°, rel. 17, hkl 2 1 0
- 2θ = 33.95°, rel. 35, hkl 1 0 2
- 2θ = 34.83°, rel. 100, hkl 2 1 1
- 2θ = 38.71°, rel. 36, hkl 3 0 1
- 2θ = 39.75°, rel. 37, hkl 2 0 2
- 2θ = 40.78°, rel. 31, hkl 2 2 0
- 2θ = 61.33°, rel. 19, hkl 3 0 3
- 2θ = 62.27°, rel. 23, hkl 3 2 2
- 2θ = 62.83°, rel. 21, hkl 5 0 1
- 2θ = 63.02°, rel. 12, hkl 3 3 0

Atomic structure:
```
data_Hf7Ni3
_cell_length_a 8.8507
_cell_length_b 8.8507
_cell_length_c 5.6247
_cell_angle_alpha 90.00
_cell_angle_beta 90.00
_cell_angle_gamma 120.00
_symmetry_space_group_name_H-M 'P 63 m c'
_symmetry_Int_Tables_number 186
_symmetry_space_group_name_Hall 'P 6c -2c'
loop_
_atom_site_label
_atom_site_type_symbol
_atom_site_fract_x
_atom_site_fract_y
_atom_site_fract_z
Hf1 Hf 0.0825 0.5412 0.0000
Hf2 Hf 0.1320 0.2640 0.3029
Hf3 Hf 0.3333 0.6667 0.4686
Ni1 Ni 0.1887 0.3774 0.7356
```



No. 6
# Hf3Ni7
Calculated powder XRD pattern, CuKα. Input: a structure optimized by DFT (PBE).
Lines closer than 0.1° are merged.

Main lines, sorted by position (2θ from 10° to 80°):
- 2θ = 29.75°, rel. 22, hkl 2 0 -1
- 2θ = 32.93°, rel. 37, hkl 0 2 -2
- 2θ = 33.91°, rel. 20, hkl -2 1 2
- 2θ = 35.76°, rel. 21, hkl 2 -2 1
- 2θ = 41.91°, rel. 58, hkl 1 2 0
- 2θ = 42.27°, rel. 69, hkl -1 1 3
- 2θ = 43.04°, rel. 58, hkl 2 -1 2
- 2θ = 44.01°, rel. 100, hkl 2 1 -3
- 2θ = 44.09°, rel. 49, hkl 1 -3 2
- 2θ = 48.06°, rel. 16, hkl -1 3 1

Atomic structure:
```
data_Hf3Ni7
_cell_length_a 6.5097
_cell_length_b 6.5790
_cell_length_c 7.6330
_cell_angle_alpha 102.76
_cell_angle_beta 104.61
_cell_angle_gamma 112.60
_symmetry_space_group_name_H-M 'P -1'
_symmetry_Int_Tables_number 2
loop_
_symmetry_equiv_pos_as_xyz
'x,y,z'
'-x,-y,-z'
loop_
_atom_site_label
_atom_site_type_symbol
_atom_site_fract_x
_atom_site_fract_y
_atom_site_fract_z
Hf1 Hf 0.0000 0.2272 0.3687
Hf2 Hf 0.3419 0.4745 0.1244
Hf3 Hf 0.4011 0.0445 0.2782
Ni1 Ni 0.0000 0.0000 0.0000
Ni2 Ni 0.0546 0.1999 0.7655
Ni3 Ni 0.1173 0.6759 0.9560
Ni4 Ni 0.2217 0.6727 0.3927
Ni5 Ni 0.2712 0.5627 0.7144
Ni6 Ni 0.3194 0.1414 0.5942
Ni7 Ni 0.3941 0.1169 0.9408
Ni8 Ni 0.5000 0.5000 0.5000
```